Record 1
Diffraction record for Ba4CdInI2. The powder XRD pattern is calculated, not measured: it uses the GGA-PBE geometry in Alexandria and Cu Kα X-rays.
Peak positions follow from Bragg's law for the DFT cell and can differ from measured ones.

Structural model:
Cell: 8.4040 4.7683 9.6749 Å, 90.00 106.33 90.00°
Space group P2/m (No. 10)
Asymmetric unit:
Ba: 0.2447 0.0000 0.2370 x2
Ba: 0.2523 0.5000 0.7648 x2
Cd: 0.5000 0.0000 0.0000 x1
In: 0.0000 0.5000 0.0000 x1
I: 0.0000 0.0000 0.5000 x1
I: 0.5000 0.5000 0.5000 x1

Main lines, sorted by position (10 to 80 degrees two-theta):
hkl  2theta  I/Imax
1 1 1  24.9  100.0
2 0 2  33.3  15.4
1 1 -3  33.7  29.8
3 1 -1  37.2  23.2
0 2 0  37.7  11.2
0 0 4  38.8  9.7
2 2 -2  45.7  12.8
2 2 2  51.2  8.9

=====

Record 2
Diffraction record for Ba3Cd2In. The powder XRD pattern is calculated, not measured: it uses the GGA-PBE geometry in Alexandria and Cu Kα X-rays.
Peak positions follow from Bragg's law for the DFT cell and can differ from measured ones.

Structural model:
Cell: 4.2742 4.2742 12.7396 Å, 90.00 90.00 90.00°
Space group P4/mmm (No. 123)
Asymmetric unit:
Ba: 0.0000 0.0000 0.0000 x1
Ba: 0.0000 0.0000 0.3348 x2
Cd: 0.5000 0.5000 0.1681 x2
In: 0.5000 0.5000 0.5000 x1

Main lines, sorted by position (10 to 80 degrees two-theta):
hkl  2theta  I/Imax
1 1 0  29.6  100.0
2 0 0  42.3  12.5
0 0 6  42.6  6.1
2 1 3  52.5  26.1
1 1 6  52.7  12.9
2 0 6  61.6  8.0
3 1 0  69.6  11.1
1 0 9  70.0  5.4

=====

Record 3
Diffraction record for Ba4Cd2In. The powder XRD pattern is calculated, not measured: it uses the GGA-PBE geometry in Alexandria and Cu Kα X-rays.
Peak positions follow from Bragg's law for the DFT cell and can differ from measured ones.

Structural model:
Cell: 6.0236 6.0236 29.4138 Å, 90.00 90.00 120.00°
Space group R-3m (No. 166, hexagonal axes)
Asymmetric unit:
Ba: 0.0000 0.0000 0.1238 x6
Ba: 0.0000 0.0000 0.3753 x6
Cd: 0.0000 0.0000 0.2516 x6
In: 0.0000 0.0000 0.0000 x3

Main lines, sorted by position (10 to 80 degrees two-theta):
hkl  2theta  I/Imax
1 1 0  29.7  100.0
2 0 8  42.5  18.5
3 0 0  52.7  29.3
1 0 16  52.8  9.6
2 2 0  61.6  6.1
0 2 16  61.7  6.0
3 1 8  69.9  8.3
2 1 16  70.0  8.2

=====

Record 4
Diffraction record for BaCd8In2. The powder XRD pattern is calculated, not measured: it uses the GGA-PBE geometry in Alexandria and Cu Kα X-rays.
Peak positions follow from Bragg's law for the DFT cell and can differ from measured ones.

Structural model:
Cell: 5.9274 9.6585 10.8097 Å, 90.00 90.00 90.00°
Space group Cmmm (No. 65)
Asymmetric unit:
Ba: 0.0000 0.0000 0.0000 x2
Cd: 0.0000 0.5000 0.3354 x4
Cd: 0.2500 0.2500 0.2054 x8
Cd: 0.2500 0.2500 0.5000 x4
In: 0.0000 0.0000 0.3511 x4

Main lines, sorted by position (10 to 80 degrees two-theta):
hkl  2theta  I/Imax
0 2 3  31.0  100.0
2 2 0  35.5  85.3
0 4 0  37.2  37.5
0 2 4  38.2  18.3
2 0 3  39.4  54.9
2 4 3  55.3  37.3
0 6 3  63.3  13.8
4 2 3  71.6  26.3

=====

Record 5
Diffraction record for Ba2CdIn7. The powder XRD pattern is calculated, not measured: it uses the GGA-PBE geometry in Alexandria and Cu Kα X-rays.
Peak positions follow from Bragg's law for the DFT cell and can differ from measured ones.

Structural model:
Cell: 4.9975 4.9975 12.3323 Å, 90.00 90.00 90.00°
Space group P-4m2 (No. 115)
Asymmetric unit:
Ba: 0.0000 0.5000 0.2467 x2
Cd: 0.5000 0.5000 0.0000 x1
In: 0.0000 0.0000 0.0000 x1
In: 0.0000 0.0000 0.5000 x1
In: 0.0000 0.5000 0.6367 x2
In: 0.0000 0.5000 0.8693 x2
In: 0.5000 0.5000 0.5000 x1

Main lines, sorted by position (10 to 80 degrees two-theta):
hkl  2theta  I/Imax
1 0 3  28.1  51.6
1 1 2  29.1  100.0
2 0 0  35.9  67.1
1 1 4  38.8  33.0
1 0 5  40.8  29.2
2 1 3  46.2  25.9
2 1 5  55.5  23.2
3 1 2  60.5  25.7

=====

Record 6
Diffraction record for Ba3Cd5In6. The powder XRD pattern is calculated, not measured: it uses the GGA-PBE geometry in Alexandria and Cu Kα X-rays.
Peak positions follow from Bragg's law for the DFT cell and can differ from measured ones.

Structural model:
Cell: 5.1135 14.9252 10.8903 Å, 90.00 90.00 90.00°
Space group Pmmn (No. 59, origin choice 2)
Asymmetric unit:
Ba: 0.2500 0.0495 0.2479 x4
Ba: 0.2500 0.7500 0.2481 x2
Cd: 0.2500 0.0901 0.6111 x4
Cd: 0.2500 0.6044 0.9749 x4
Cd: 0.2500 0.7500 0.7564 x2
In: 0.2500 0.0919 0.8839 x4
In: 0.2500 0.2500 0.0577 x2
In: 0.2500 0.2500 0.4402 x2
In: 0.2500 0.6105 0.5318 x4

Main lines, sorted by position (10 to 80 degrees two-theta):
hkl  2theta  I/Imax
0 4 2  29.0  20.9
1 3 2  30.0  100.0
1 0 3  30.2  26.2
1 4 1  30.8  21.6
1 2 3  32.5  33.7
2 0 0  35.1  51.1
0 6 0  36.1  27.4
1 1 4  37.9  20.9

=====

Record 7
Diffraction record for Ba2Cd12In5. The powder XRD pattern is calculated, not measured: it uses the GGA-PBE geometry in Alexandria and Cu Kα X-rays.
Peak positions follow from Bragg's law for the DFT cell and can differ from measured ones.

Structural model:
Cell: 10.7265 10.7265 15.0286 Å, 90.00 90.00 120.00°
Space group R-3m (No. 166, hexagonal axes)
Asymmetric unit:
Ba: 0.0000 0.0000 0.1670 x6
Cd: 0.0000 0.3080 0.5000 x18
Cd: 0.0157 0.5079 0.6555 x18
In: 0.0000 0.0000 0.4010 x6
In: 0.0000 0.5000 0.0000 x9

Main lines, sorted by position (10 to 80 degrees two-theta):
hkl  2theta  I/Imax
3 0 0  28.8  34.2
2 2 0  33.4  54.4
0 3 3  34.0  100.0
0 0 6  35.9  31.3
2 2 3  38.1  67.0
3 3 3  54.5  19.2
6 0 0  59.7  26.2
0 3 9  63.3  21.8

=====

Record 8
Diffraction record for BaCd4In. The powder XRD pattern is calculated, not measured: it uses the GGA-PBE geometry in Alexandria and Cu Kα X-rays.
Peak positions follow from Bragg's law for the DFT cell and can differ from measured ones.

Structural model:
Cell: 9.4918 18.7866 3.9338 Å, 90.00 90.00 90.00°
Space group Pbam (No. 55)
Asymmetric unit:
Ba: 0.1238 0.1544 0.0000 x4
Cd: 0.0224 0.6940 0.5000 x4
Cd: 0.1248 0.9601 0.5000 x4
Cd: 0.1264 0.5495 0.5000 x4
Cd: 0.2122 0.8084 0.5000 x4
In: 0.1331 0.4117 0.0000 x4

Main lines, sorted by position (10 to 80 degrees two-theta):
hkl  2theta  I/Imax
1 3 1  28.4  31.5
0 4 1  29.6  42.8
2 1 1  29.9  100.0
2 5 0  30.3  39.1
1 4 1  31.1  47.5
2 3 1  32.8  56.9
4 2 1  45.7  28.4
0 0 2  46.2  35.1